[1]
The following is a simulated powder X-ray diffraction pattern of BaF5. It was derived from DFT lattice parameters and positions (GGA-PBE), using Cu Kα, 1.54184 Å.
Lines closer than 0.1° are merged.

Structure:
```
BaF5
1.0
4.7427 0.0000 0.0000
0.0000 8.2885 0.0000
-1.3792 0.0000 4.6904
Ba F
2 10
Direct
0.0900 0.2500 0.2596 Ba
0.9100 0.7500 0.7404 Ba
0.0092 0.0874 0.7405 F
0.0092 0.4126 0.7405 F
0.3297 0.7500 0.3255 F
0.4322 0.5625 0.8217 F
0.4322 0.9375 0.8217 F
0.5678 0.0625 0.1783 F
0.5678 0.4375 0.1783 F
0.6703 0.2500 0.6745 F
0.9908 0.5874 0.2595 F
0.9908 0.9126 0.2595 F
```

Most intense lines, 15 to 90 degrees two-theta, in order of rising 2θ:
2θ 19.51, I = 64
2θ 21.44, I = 50
2θ 21.77, I = 100
2θ 25.49, I = 43
2θ 29.15, I = 52
2θ 31.70, I = 41
2θ 37.83, I = 58
2θ 38.38, I = 44
2θ 40.16, I = 57
2θ 45.46, I = 48

[2]
The following is a simulated powder X-ray diffraction pattern of BaF5. It was derived from DFT lattice parameters and positions (GGA-PBE), using Cu Kα, 1.54184 Å.
Lines closer than 0.1° are merged.

Structure:
```
BaF5
1.0
2.3193 -4.1782 0.0000
2.3193 4.1782 0.0000
0.0000 0.0000 4.5964
Ba F
1 5
Direct
0.0000 0.0000 0.0000 Ba
0.2430 0.7570 0.5000 F
0.3262 0.6738 0.0000 F
0.5000 0.5000 0.5000 F
0.6738 0.3262 0.0000 F
0.7570 0.2430 0.5000 F
```

Most intense lines, 15 to 90 degrees two-theta, in order of rising 2θ:
2θ 19.31, I = 49
2θ 21.27, I = 24
2θ 21.92, I = 52
2θ 28.88, I = 50
2θ 29.37, I = 100
2θ 37.67, I = 31
2θ 38.83, I = 35
2θ 39.20, I = 34
2θ 42.67, I = 77
2θ 49.10, I = 23